Diffraction record for CdFePbO4. The powder XRD pattern is calculated, not measured: it uses a DFT-relaxed cell (GGA+U, Alexandria) and Cu Ka.
Lines closer than 0.1° are merged.

Structural model:
```
data_CdFePbO4
_chemical_formula_sum 'Cd4 Fe4 Pb4 O16'
_symmetry_space_group_name_H-M 'I m m a'
_symmetry_Int_Tables_number 74
_symmetry_space_group_name_Hall '-I 2b 2'
_cell_length_a 6.516
_cell_length_b 6.683
_cell_length_c 9.241
_cell_angle_alpha 90.00
_cell_angle_beta 90.00
_cell_angle_gamma 90.00
loop_
_atom_site_label
_atom_site_type_symbol
_atom_site_fract_x
_atom_site_fract_y
_atom_site_fract_z
Cd1 Cd 0.250 0.250 0.250
Fe1 Fe 0.000 0.250 0.630
Pb1 Pb 0.000 0.000 0.000
O1 O 0.000 0.008 0.747
O2 O 0.241 0.250 0.506
```

Peak list (6 most intense, 2θ = 10–80°, in order of rising 2θ)
2θ (°)  I (rel.)
16.6  95
31.6  100
32.0  60
32.1  50
38.6  51
56.0  60